For Na3CaAl3Si3SO16, a cell relaxed with PBE gives the theoretical X-ray powder pattern in this record (Cu Kα, 1.54184 Å).
Intensities are scaled so that the largest is 100.

Most intense lines, 2θ = 10–90°, in order of rising 2θ:
h k l  two_theta  d/Å  Rel. int.
0 1 2  13.76  6.436  12.5
1 2 2  23.98  3.711  100.0
3 0 0  24.02  3.704  43.9
2 1 4  31.11  2.874  16.4
0 4 2  34.21  2.621  29.5
1 1 6  36.95  2.433  11.7
0 3 6  42.16  2.143  38.0
3 3 0  42.25  2.139  19.5

Structural model:
Cell: 12.8322 12.8322 15.7904 Å, 90.00 90.00 120.00°
Space group R3c (No. 161, hexagonal axes)
Asymmetric unit:
Na (0.0596, 0.5287, 0.0000) (multiplicity 18)
Ca (0.0000, 0.0000, 0.0860) (multiplicity 6)
Al (0.0013, 0.2527, 0.5160) (multiplicity 18)
Si (0.0849, 0.4173, 0.6832) (multiplicity 18)
S (0.0000, 0.0000, 0.2603) (multiplicity 6)
O (0.0000, 0.0000, 0.3535) (multiplicity 6)
O (0.0346, 0.3620, 0.0797) (multiplicity 18)
O (0.0422, 0.3727, 0.5865) (multiplicity 18)
O (0.0948, 0.1980, 0.0219) (multiplicity 18)
O (0.1255, 0.0601, 0.2240) (multiplicity 18)
O (0.1981, 0.4023, 0.7150) (multiplicity 18)

***

For Na3Ca3AlSb4, a cell relaxed with PBE gives the theoretical X-ray powder pattern in this record (Cu Kα, 1.54184 Å).
Intensities are scaled so that the largest is 100.

Most intense lines, 2θ = 10–90°, in order of rising 2θ:
h k l  two_theta  d/Å  Rel. int.
1 0 0  10.10  8.758  21.2
0 0 2  23.44  3.795  100.0
2 0 2  31.16  2.870  50.5
3 0 1  32.86  2.725  15.9
2 2 0  35.51  2.528  46.9
2 0 3  41.17  2.193  27.4
2 2 2  42.98  2.105  30.4
2 2 4  61.03  1.518  17.0

Structural model:
Cell: 10.1129 10.1129 7.6001 Å, 90.00 90.00 120.00°
Space group P6_3mc (No. 186)
Asymmetric unit:
Na (0.1449, 0.2897, 0.0000) (multiplicity 6)
Ca (0.0414, 0.5207, 0.6815) (multiplicity 6)
Al (0.3333, 0.6667, 0.3104) (multiplicity 2)
Sb (0.1877, 0.3753, 0.4147) (multiplicity 6)
Sb (0.3333, 0.6667, 0.9480) (multiplicity 2)